# 1
PuIn2Au10: theoretical powder XRD pattern (Cu Kα X-rays), based on the PBE geometry in Alexandria.

Most intense lines, 2θ = 15–90°, low angle first:
Position (°2θ), I/Imax
30.29, 44
32.09, 83
35.83, 100
36.04, 83
37.90, 99
38.71, 76
39.87, 70
41.53, 57
65.48, 27
67.12, 51

Structure:
a b c (Å): 9.5330 7.6302 7.0765
angles (deg): 80.72 52.18 47.10
Element x y z (fractional)
Pu 0.0000 0.0000 0.0000
In 0.0000 0.5000 0.0000
In 0.5000 0.0000 0.5000
Au 0.0000 0.0000 0.5000
Au 0.0046 0.6644 0.3356
Au 0.2858 0.5011 0.4989
Au 0.3356 0.9954 0.0046
Au 0.4989 0.7142 0.2858
Au 0.5000 0.5000 0.0000
Au 0.5011 0.2858 0.7142
Au 0.6644 0.0046 0.9954
Au 0.7142 0.4989 0.5011
Au 0.9954 0.3356 0.6644

***

# 2
Pu4InAu5: theoretical powder XRD pattern (Cu Kα X-rays), based on the PBE geometry in Alexandria.

Most intense lines, 2θ = 15–90°, low angle first:
Position (°2θ), I/Imax
32.52, 88
38.26, 100
46.66, 33
49.14, 4
61.87, 50
68.12, 11
72.69, 10
77.54, 16
80.92, 12
81.91, 8

Structure:
a b c (Å): 3.8934 3.8934 14.7589
angles (deg): 90.00 90.00 90.00
Element x y z (fractional)
Pu 0.0000 0.0000 0.1148
Pu 0.0000 0.0000 0.2810
Pu 0.0000 0.0000 0.7190
Pu 0.0000 0.0000 0.8852
In 0.0000 0.0000 0.5000
Au 0.5000 0.5000 0.0000
Au 0.5000 0.5000 0.2033
Au 0.5000 0.5000 0.3976
Au 0.5000 0.5000 0.6024
Au 0.5000 0.5000 0.7967

***

# 3
PuThInAu: theoretical powder XRD pattern (Cu Kα X-rays), based on the PBE geometry in Alexandria.

Most intense lines, 2θ = 15–90°, low angle first:
Position (°2θ), I/Imax
33.09, 100
37.56, 37
40.02, 14
40.13, 5
54.17, 13
56.04, 21
64.96, 29
68.32, 10
69.45, 13
89.50, 7

Structure:
a b c (Å): 3.3866 3.3866 9.0118
angles (deg): 90.00 90.00 90.00
Element x y z (fractional)
Pu 0.0000 0.0000 0.0000
Th 0.0000 0.0000 0.4652
In 0.5000 0.5000 0.7372
Au 0.5000 0.5000 0.2326

***

# 4
RbIn12Au7: theoretical powder XRD pattern (Cu Kα X-rays), based on the PBE geometry in Alexandria.

Most intense lines, 2θ = 15–90°, low angle first:
Position (°2θ), I/Imax
17.86, 58
30.73, 39
32.53, 43
33.22, 38
33.86, 53
36.16, 41
37.58, 100
38.35, 31
39.29, 70
55.49, 36

Structure:
a b c (Å): 8.7411 8.7411 8.2578
angles (deg): 108.41 108.41 110.55
Element x y z (fractional)
Rb 0.0000 0.0000 0.0000
In 0.0011 0.3251 0.4715
In 0.2550 0.5128 0.2571
In 0.2568 0.7432 0.0000
In 0.3243 0.3243 0.8554
In 0.3251 0.0011 0.4715
In 0.4872 0.7450 0.7429
In 0.5128 0.2550 0.2571
In 0.6749 0.9989 0.5285
In 0.6757 0.6757 0.1446
In 0.7432 0.2568 0.0000
In 0.7450 0.4872 0.7429
In 0.9989 0.6749 0.5285
Au 0.0000 0.0000 0.5000
Au 0.9997 0.3438 0.8336
Au 0.0003 0.6562 0.1664
Au 0.3438 0.9997 0.8336
Au 0.3465 0.3465 0.5140
Au 0.6535 0.6535 0.4860
Au 0.6562 0.0003 0.1664

***

Please write out number 2 again, unchanged.
Pu4InAu5: theoretical powder XRD pattern (Cu Kα X-rays), based on the PBE geometry in Alexandria.

Most intense lines, 2θ = 15–90°, low angle first:
Position (°2θ), I/Imax
32.52, 88
38.26, 100
46.66, 33
49.14, 4
61.87, 50
68.12, 11
72.69, 10
77.54, 16
80.92, 12
81.91, 8

Structure:
a b c (Å): 3.8934 3.8934 14.7589
angles (deg): 90.00 90.00 90.00
Element x y z (fractional)
Pu 0.0000 0.0000 0.1148
Pu 0.0000 0.0000 0.2810
Pu 0.0000 0.0000 0.7190
Pu 0.0000 0.0000 0.8852
In 0.0000 0.0000 0.5000
Au 0.5000 0.5000 0.0000
Au 0.5000 0.5000 0.2033
Au 0.5000 0.5000 0.3976
Au 0.5000 0.5000 0.6024
Au 0.5000 0.5000 0.7967